This entry pairs a crystal structure of Ag2Pd5Au5 with its computed powder X-ray diffraction pattern. Radiation: a wavelength of 1.5418 Å. Structure: the PBE geometry in Alexandria.

Crystal structure
Cell lengths 12.2440, 4.0376, 9.1723 Å; angles 90.00, 117.04, 90.00 degrees
Space group C2/m (No. 12)
Inequivalent atoms, fractional coordinates:
Ag (0.0826, 0.0000, 0.2523) x4
Pd (0.0000, 0.5000, 0.0000) x2
Pd (0.0844, 0.5000, 0.7488) x4
Pd (0.1665, 0.5000, 0.4995) x4
Au (0.0000, 0.0000, 0.5000) x2
Au (0.1648, 0.0000, 0.9988) x4
Au (0.2502, 0.0000, 0.7461) x4

Peak list (10 most intense, 2θ = 5–70°, most intense first)
| 2theta | Rel. int. | (hkl) |
| --- | --- | --- |
| 38.2 | 100 | 3 1 -3 |
| 38.5 | 98 | 3 1 1 |
| 44.4 | 65 | 0 0 4 |
| 65.0 | 52 | 6 0 2 |
| 44.9 | 32 | 0 2 0 |
| 64.2 | 11 | 6 0 -6 |
| 23.5 | 4 | 1 1 0 |
| 14.9 | 4 | 2 0 -1 |
| 16.3 | 3 | 2 0 0 |
| 29.5 | 3 | 4 0 -1 |


This entry pairs a crystal structure of NdPu2Sn9 with its computed powder X-ray diffraction pattern. Radiation: a wavelength of 1.5418 Å. Structure: the PBE geometry in Alexandria.

Crystal structure
Cell lengths 6.6185, 4.7295, 10.4804 Å; angles 90.00, 108.29, 90.00 degrees
Space group P2/m (No. 10)
Inequivalent atoms, fractional coordinates:
Nd (0.0000, 0.0000, 0.0000) x1
Pu (0.3345, 0.0000, 0.6687) x2
Sn (0.0000, 0.5000, 0.5000) x1
Sn (0.1689, 0.0000, 0.3381) x2
Sn (0.1687, 0.5000, 0.8303) x2
Sn (0.3379, 0.5000, 0.1698) x2
Sn (0.5000, 0.0000, 0.0000) x1
Sn (0.5000, 0.5000, 0.5000) x1

Peak list (10 most intense, 2θ = 5–70°, most intense first)
| 2theta | Rel. int. | (hkl) |
| --- | --- | --- |
| 33.0 | 100 | 2 1 -1 |
| 38.4 | 33 | 2 0 2 |
| 55.2 | 24 | 2 2 2 |
| 38.1 | 17 | 0 2 0 |
| 65.6 | 15 | 2 3 -1 |
| 66.0 | 14 | 4 1 1 |
| 66.1 | 14 | 4 1 -5 |
| 69.3 | 6 | 4 2 -2 |
| 69.2 | 6 | 0 2 6 |
| 55.5 | 6 | 4 0 -2 |


This entry pairs a crystal structure of Sm12HoEr7 with its computed powder X-ray diffraction pattern. Radiation: a wavelength of 1.5418 Å. Structure: the PBE geometry in Alexandria.

Crystal structure
Cell lengths 19.5756, 19.5756, 6.1488 Å; angles 90.00, 90.00, 120.00 degrees
Space group R-3m (No. 166, hexagonal axes)
Inequivalent atoms, fractional coordinates:
Sm (0.0000, 0.4137, 0.0000) x18
Sm (0.0980, 0.5490, 0.4628) x18
Ho (0.0000, 0.0000, 0.5000) x3
Er (0.0000, 0.0000, 0.0000) x3
Er (0.0813, 0.1625, 0.2933) x18

Peak list (10 most intense, 2θ = 5–70°, most intense first)
| 2theta | Rel. int. | (hkl) |
| --- | --- | --- |
| 30.1 | 100 | 0 5 1 |
| 32.8 | 47 | 5 1 1 |
| 33.0 | 47 | 5 2 0 |
| 27.3 | 42 | 3 3 0 |
| 30.9 | 41 | 2 0 2 |
| 39.6 | 40 | 5 0 2 |
| 40.0 | 27 | 7 0 1 |
| 46.4 | 26 | 5 5 0 |
| 29.5 | 25 | 0 1 2 |
| 34.9 | 25 | 3 1 2 |


This entry pairs a crystal structure of TiCuAg2Sn with its computed powder X-ray diffraction pattern. Radiation: a wavelength of 1.5418 Å. Structure: the PBE geometry in Alexandria.

Crystal structure
Cell lengths 5.0922, 5.0922, 4.7010 Å; angles 90.00, 90.00, 90.00 degrees
Space group P4/mmm (No. 123)
Inequivalent atoms, fractional coordinates:
Ti (0.0000, 0.0000, 0.0000) x1
Cu (0.0000, 0.0000, 0.5000) x1
Ag (0.0000, 0.5000, 0.0000) x2
Sn (0.5000, 0.5000, 0.5000) x1

Peak list (10 most intense, 2θ = 5–70°, most intense first)
| 2theta | Rel. int. | (hkl) |
| --- | --- | --- |
| 31.3 | 100 | 1 1 1 |
| 35.2 | 57 | 2 0 0 |
| 53.0 | 34 | 2 0 2 |
| 60.8 | 29 | 3 1 1 |
| 38.3 | 23 | 0 0 2 |
| 50.7 | 20 | 2 2 0 |
| 65.3 | 18 | 2 2 2 |
| 25.8 | 12 | 1 0 1 |
| 64.9 | 12 | 1 1 3 |
| 44.2 | 6 | 2 1 1 |


This entry pairs a crystal structure of MnW2Se4S2 with its computed powder X-ray diffraction pattern. Radiation: a wavelength of 1.5418 Å. Structure: the PBE geometry in Alexandria.

Crystal structure
Cell lengths 3.2704, 3.2704, 21.3378 Å; angles 90.00, 90.00, 120.00 degrees
Space group P3m1 (No. 156)
Inequivalent atoms, fractional coordinates:
Mn (0.0000, 0.0000, 0.0000) x1
W (0.0000, 0.0000, 0.6573) x1
W (0.6667, 0.3333, 0.3156) x1
Se (0.0000, 0.0000, 0.2358) x1
Se (0.0000, 0.0000, 0.3954) x1
Se (0.6667, 0.3333, 0.5775) x1
Se (0.6667, 0.3333, 0.7371) x1
S (0.6667, 0.3333, 0.0636) x1
S (0.6667, 0.3333, 0.9363) x1

Peak list (10 most intense, 2θ = 5–70°, most intense first)
| 2theta | Rel. int. | (hkl) |
| --- | --- | --- |
| 12.4 | 100 | 0 0 3 |
| 38.1 | 39 | 1 0 5 |
| 8.3 | 36 | 0 0 2 |
| 35.9 | 32 | 0 1 4 |
| 43.6 | 31 | 0 1 7 |
| 31.6 | 25 | 1 0 0 |
| 46.8 | 23 | 1 0 8 |
| 56.3 | 19 | 1 1 0 |
| 34.1 | 14 | 0 1 3 |
| 57.9 | 12 | 1 1 3 |


This entry pairs a crystal structure of PrNd6Tm3 with its computed powder X-ray diffraction pattern. Radiation: a wavelength of 1.5418 Å. Structure: the PBE geometry in Alexandria.

Crystal structure
Cell lengths 11.0104, 19.3175, 6.3696 Å; angles 90.00, 90.00, 90.00 degrees
Space group Cmc2_1 (No. 36)
Inequivalent atoms, fractional coordinates:
Pr (0.0000, 0.1928, 0.0000) x4
Nd (0.0000, 0.0354, 0.7645) x4
Nd (0.0000, 0.2825, 0.5436) x4
Nd (0.1687, 0.4600, 0.4425) x8
Nd (0.2333, 0.2910, 0.2626) x8
Tm (0.0000, 0.3841, 0.9847) x4
Tm (0.1735, 0.1155, 0.3574) x8

Peak list (10 most intense, 2θ = 5–70°, most intense first)
| 2theta | Rel. int. | (hkl) |
| --- | --- | --- |
| 31.1 | 100 | 0 6 1 |
| 33.8 | 63 | 2 2 2 |
| 28.3 | 62 | 2 4 1 |
| 31.4 | 53 | 3 3 1 |
| 28.4 | 43 | 3 1 1 |
| 28.0 | 39 | 0 0 2 |
| 33.7 | 33 | 3 5 0 |
| 49.7 | 30 | 6 0 0 |
| 32.5 | 30 | 2 0 2 |
| 29.6 | 28 | 1 1 2 |


This entry pairs a crystal structure of Li6Cd5Ni with its computed powder X-ray diffraction pattern. Radiation: a wavelength of 1.5418 Å. Structure: the PBE geometry in Alexandria.

Crystal structure
Cell lengths 4.2465, 7.7299, 12.7848 Å; angles 90.00, 90.00, 90.00 degrees
Space group Immm (No. 71)
Inequivalent atoms, fractional coordinates:
Li (0.0000, 0.2428, 0.1594) x8
Li (0.0000, 0.2527, 0.5000) x4
Cd (0.0000, 0.0000, 0.3274) x4
Cd (0.0000, 0.5000, 0.0000) x2
Cd (0.0000, 0.5000, 0.3498) x4
Ni (0.0000, 0.0000, 0.0000) x2

Peak list (10 most intense, 2θ = 5–70°, most intense first)
| 2theta | Rel. int. | (hkl) |
| --- | --- | --- |
| 37.9 | 100 | 1 2 3 |
| 29.7 | 80 | 1 0 3 |
| 23.0 | 79 | 0 2 0 |
| 56.6 | 24 | 1 4 3 |
| 48.9 | 20 | 2 2 0 |
| 42.6 | 19 | 2 0 0 |
| 48.8 | 17 | 0 2 6 |
| 42.4 | 16 | 0 0 6 |
| 47.0 | 14 | 0 4 0 |
| 66.7 | 13 | 2 2 6 |


This entry pairs a crystal structure of ErNi4 with its computed powder X-ray diffraction pattern. Radiation: a wavelength of 1.5418 Å. Structure: the PBE geometry in Alexandria.

Crystal structure
Cell lengths 5.9647, 9.3357, 5.1827 Å; angles 90.00, 90.00, 90.00 degrees
Space group Cmcm (No. 63)
Inequivalent atoms, fractional coordinates:
Er (0.0000, 0.2348, 0.2500) x4
Ni (0.0000, 0.0839, 0.7500) x4
Ni (0.0000, 0.3263, 0.7500) x4
Ni (0.1991, 0.5000, 0.0000) x8

Peak list (10 most intense, 2θ = 5–70°, most intense first)
| 2theta | Rel. int. | (hkl) |
| --- | --- | --- |
| 36.9 | 100 | 1 3 1 |
| 46.4 | 89 | 2 0 2 |
| 35.7 | 88 | 2 2 0 |
| 39.8 | 79 | 0 2 2 |
| 30.0 | 34 | 2 0 0 |
| 24.7 | 32 | 1 1 1 |
| 57.8 | 27 | 3 3 1 |
| 38.6 | 25 | 0 4 0 |
| 52.8 | 24 | 2 4 1 |
| 42.5 | 23 | 0 4 1 |


This entry pairs a crystal structure of InRh3PbS2 with its computed powder X-ray diffraction pattern. Radiation: a wavelength of 1.5418 Å. Structure: the PBE geometry in Alexandria.

Crystal structure
Cell lengths 5.7250, 5.7250, 13.9493 Å; angles 90.00, 90.00, 120.00 degrees
Space group R-3m (No. 166, hexagonal axes)
Inequivalent atoms, fractional coordinates:
In (0.0000, 0.0000, 0.0000) x3
Rh (0.0000, 0.5000, 0.0000) x9
Pb (0.0000, 0.0000, 0.5000) x3
S (0.0000, 0.0000, 0.2174) x6

Peak list (10 most intense, 2θ = 5–70°, most intense first)
| 2theta | Rel. int. | (hkl) |
| --- | --- | --- |
| 38.5 | 100 | 2 0 2 |
| 44.9 | 90 | 0 2 4 |
| 19.0 | 78 | 0 0 3 |
| 36.9 | 56 | 0 2 1 |
| 31.2 | 42 | 1 1 0 |
| 38.7 | 37 | 0 0 6 |
| 31.4 | 35 | 1 0 4 |
| 65.2 | 31 | 2 2 0 |
| 22.0 | 27 | 0 1 2 |
| 65.4 | 25 | 2 0 8 |


This entry pairs a crystal structure of Tm3As6Pd20 with its computed powder X-ray diffraction pattern. Radiation: a wavelength of 1.5418 Å. Structure: the PBE geometry in Alexandria.

Crystal structure
Cell lengths 12.5247, 12.5247, 12.5247 Å; angles 90.00, 90.00, 90.00 degrees
Space group Fm-3m (No. 225)
Inequivalent atoms, fractional coordinates:
Tm (0.0000, 0.0000, 0.0000) x4
Tm (0.2500, 0.2500, 0.2500) x8
As (0.0000, 0.0000, 0.2662) x24
Pd (0.0000, 0.1734, 0.1734) x48
Pd (0.1194, 0.1194, 0.3806) x32

Peak list (10 most intense, 2θ = 5–70°, most intense first)
| 2theta | Rel. int. | (hkl) |
| --- | --- | --- |
| 37.3 | 100 | 3 3 3 |
| 40.8 | 54 | 4 4 0 |
| 35.1 | 29 | 4 2 2 |
| 63.0 | 26 | 6 6 0 |
| 48.2 | 24 | 6 2 2 |
| 42.7 | 24 | 5 3 1 |
| 64.4 | 15 | 5 5 5 |
| 43.3 | 14 | 6 0 0 |
| 32.0 | 14 | 4 2 0 |
| 59.0 | 9 | 8 0 0 |